# Ac4AlTlCd2
Calculated powder X-ray diffraction pattern, Cu Ka. Input: a DFT-relaxed cell (PBE, Alexandria).

Structure:
```
Ac4AlTlCd2
1.0
2.8707 1.6574 9.4051
-2.8707 1.6574 9.4051
0.0000 -3.3148 9.4051
Ac Al Tl Cd
4 1 1 2
Direct
0.1221 0.1221 0.1221
0.3721 0.3721 0.3721
0.6279 0.6279 0.6279
0.8779 0.8779 0.8779
0.0000 0.0000 0.0000
0.5000 0.5000 0.5000
0.2495 0.2495 0.2495
0.7505 0.7505 0.7505
```

Largest 6 diffraction maxima, by intensity, 2θ = 10–80°:
- d = 2.874 Å, rel. 100
- d = 1.658 Å, rel. 30
- d = 2.032 Å, rel. 19
- d = 4.064 Å, rel. 12
- d = 1.662 Å, rel. 10
- d = 1.284 Å, rel. 9

# Tb12PmTm6
Calculated powder X-ray diffraction pattern, Cu Ka. Input: a DFT-relaxed cell (PBE, Alexandria).

Structure:
```
Tb12PmTm6
1.0
-5.3363 5.3363 5.3363
5.3363 -5.3363 5.3363
5.3363 5.3363 -5.3363
Tb Pm Tm
12 1 6
Direct
0.0671 0.2626 0.8045
0.1955 0.4582 0.2626
0.1955 0.9329 0.7374
0.2626 0.1955 0.4582
0.2626 0.8045 0.0671
0.4582 0.2626 0.1955
0.5419 0.7374 0.8045
0.7374 0.1955 0.9329
0.7374 0.8045 0.5419
0.8045 0.0671 0.2626
0.8045 0.5419 0.7374
0.9329 0.7374 0.1955
0.0000 0.0000 0.0000
0.1422 0.5000 0.6422
0.3578 0.8578 0.5000
0.5000 0.3578 0.8578
0.5000 0.6422 0.1422
0.6422 0.1422 0.5000
0.8578 0.5000 0.3578
```

Largest 6 diffraction maxima, by intensity, 2θ = 10–80°:
- d = 2.852 Å, rel. 100
- d = 3.081 Å, rel. 36
- d = 2.668 Å, rel. 34
- d = 1.731 Å, rel. 22
- d = 2.516 Å, rel. 21
- d = 1.779 Å, rel. 17

# Li2Pr2NdGa2
Calculated powder X-ray diffraction pattern, Cu Ka. Input: a DFT-relaxed cell (PBE, Alexandria).

Structure:
```
Li2Pr2NdGa2
1.0
2.3640 1.3648 8.9553
-2.3640 1.3648 8.9553
0.0000 -2.7297 8.9553
Li Pr Nd Ga
2 2 1 2
Direct
0.1065 0.1065 0.1065
0.8935 0.8935 0.8935
0.3735 0.3735 0.3735
0.6265 0.6265 0.6265
0.5000 0.5000 0.5000
0.2360 0.2360 0.2360
0.7640 0.7640 0.7640
```

Largest 6 diffraction maxima, by intensity, 2θ = 10–80°:
- d = 4.048 Å, rel. 100
- d = 2.597 Å, rel. 91
- d = 2.364 Å, rel. 80
- d = 2.800 Å, rel. 74
- d = 1.748 Å, rel. 28
- d = 1.406 Å, rel. 27

# CdHRh2Au
Calculated powder X-ray diffraction pattern, Cu Ka. Input: a DFT-relaxed cell (PBE, Alexandria).

Structure:
```
CdHRh2Au
1.0
3.9877 0.0000 0.0000
0.0000 3.9877 0.0000
0.0000 0.0000 4.2998
Cd H Rh Au
1 1 2 1
Direct
0.0000 0.0000 0.0000
0.0000 0.0000 0.5000
0.0000 0.5000 0.5000
0.5000 0.0000 0.5000
0.5000 0.5000 0.0000
```

Largest 6 diffraction maxima, by intensity, 2θ = 10–80°:
- d = 2.358 Å, rel. 100
- d = 1.994 Å, rel. 31
- d = 1.210 Å, rel. 24
- d = 1.462 Å, rel. 22
- d = 2.150 Å, rel. 19
- d = 1.278 Å, rel. 14